Structure and theoretical PXRD pattern of Ce2Pu2Si4Pt (the PBE geometry in Alexandria; Cu Kα X-rays).
Intensities are scaled so that the largest is 100.

Top 10 peaks for 2θ from 5° to 70°, in order of rising 2θ:
18.28°, I 48
25.96°, I 100
33.49°, I 32
34.09°, I 65
37.04°, I 66
43.34°, I 67
51.22°, I 20
53.38°, I 23
58.30°, I 29
64.87°, I 21

Structure:
Unit cell a=6.4654 b=6.4654 c=6.4654 alpha=115.87 beta=115.87 gamma=97.32
Element x y z (fractional)
Ce1 0.2500 0.7500 0.5000
Ce2 0.7500 0.2500 0.5000
Pu1 0.1695 0.1695 0.0000
Pu2 0.8305 0.8305 0.0000
Si1 0.2542 0.2542 0.5084
Si2 0.2542 0.7458 0.0000
Si3 0.7458 0.2542 0.0000
Si4 0.7458 0.7458 0.4916
Pt1 0.5000 0.5000 0.0000

=====

Structure and theoretical PXRD pattern of CePuTePt (the PBE geometry in Alexandria; Cu Kα X-rays).
Intensities are scaled so that the largest is 100.

Top 10 peaks for 2θ from 5° to 70°, in order of rising 2θ:
11.95°, I 17
29.34°, I 100
37.60°, I 8
40.88°, I 36
43.04°, I 37
49.23°, I 6
51.77°, I 5
52.94°, I 20
60.85°, I 11
67.42°, I 13

Structure:
Unit cell a=7.7914 b=7.7914 c=7.7914 alpha=31.30 beta=31.30 gamma=31.30
Element x y z (fractional)
Ce1 0.0000 0.0000 0.0000
Pu1 0.5232 0.5232 0.5232
Te1 0.7618 0.7618 0.7618
Pt1 0.2619 0.2619 0.2619

=====

Structure and theoretical PXRD pattern of Ce6Pt2Rh (the PBE geometry in Alexandria; Cu Kα X-rays).
Intensities are scaled so that the largest is 100.

Top 10 peaks for 2θ from 5° to 70°, in order of rising 2θ:
31.55°, I 30
32.13°, I 100
33.84°, I 27
35.15°, I 41
35.37°, I 37
35.57°, I 82
39.05°, I 20
41.25°, I 26
49.42°, I 28
59.62°, I 26

Structure:
Unit cell a=3.6886 b=8.5472 c=8.5472 alpha=125.94 beta=90.00 gamma=90.00
Element x y z (fractional)
Ce1 0.0000 0.0000 0.0000
Ce2 0.0000 0.4909 0.7528
Ce3 0.0000 0.7528 0.4909
Ce4 0.5000 0.1682 0.7844
Ce5 0.5000 0.2895 0.2895
Ce6 0.5000 0.7844 0.1682
Pt1 0.0000 0.0937 0.4354
Pt2 0.0000 0.4354 0.0937
Rh1 0.5000 0.6896 0.6896

=====

Structure and theoretical PXRD pattern of CePt3Rh (the PBE geometry in Alexandria; Cu Kα X-rays).
Intensities are scaled so that the largest is 100.

Top 10 peaks for 2θ from 5° to 70°, in order of rising 2θ:
18.78°, I 72
30.72°, I 38
37.09°, I 100
37.46°, I 73
38.10°, I 68
39.21°, I 70
41.13°, I 90
41.92°, I 60
46.29°, I 91
69.59°, I 30

Structure:
Unit cell a=6.5865 b=6.5865 c=6.5865 alpha=132.94 beta=110.34 gamma=88.34
Element x y z (fractional)
Ce1 0.2508 0.0008 0.2500
Ce2 0.7492 0.9992 0.7500
Pt1 0.0580 0.3080 0.7500
Pt2 0.3139 0.0000 0.8139
Pt3 0.3139 0.5000 0.3139
Pt4 0.6861 0.0000 0.1861
Pt5 0.6861 0.5000 0.6861
Pt6 0.9420 0.6920 0.2500
Rh1 0.0000 0.5000 0.5000
Rh2 0.5000 0.5000 0.0000